Tl4Hg3F10: calculated XRD peak list (copper Kα), based on a DFT-relaxed cell (GGA-PBE, Alexandria).
Lines closer than 0.1° are merged.

Cell and atoms:
abc: 16.2511 16.2511 16.2511
angles: 163.59 163.59 23.29
Atoms (fractional coordinates):
1 Tl 0.0700 0.0700 0.0000
2 Tl 0.2028 0.2028 0.0000
3 Tl 0.7972 0.7972 0.0000
4 Tl 0.9300 0.9300 0.0000
5 Hg 0.3554 0.3554 0.0000
6 Hg 0.5000 0.5000 0.0000
7 Hg 0.6446 0.6446 0.0000
8 F 0.0000 0.5000 0.5000
9 F 0.1409 0.6409 0.5000
10 F 0.2836 0.2836 0.0000
11 F 0.3591 0.8591 0.5000
12 F 0.4280 0.4280 0.0000
13 F 0.5000 0.0000 0.5000
14 F 0.5720 0.5720 0.0000
15 F 0.6409 0.1409 0.5000
16 F 0.7164 0.7164 0.0000
17 F 0.8591 0.3591 0.5000

Largest 12 diffraction maxima, low angle first, 2θ from 10° to 80°:
d/Å	two_theta	Rel. int.
3.281	27.18	59
3.248	27.46	100
2.320	38.82	32
2.274	39.64	12
1.888	48.21	45
1.869	48.73	18
1.640	56.06	11
1.624	56.68	16
1.467	63.39	12
1.464	63.54	10
1.238	77.01	12
1.233	77.41	10